# 1
Starting from a cell relaxed with GGA-PBE, the XRD peak list of Dy4TlTe was simulated for Cu Kα, 1.54184 Å.

```
data_Dy4TlTe
_chemical_formula_sum 'Dy16 Tl4 Te4'
_cell_length_a 7.376
_cell_length_b 4.659
_cell_length_c 20.970
_cell_angle_alpha 90.00
_cell_angle_beta 90.00
_cell_angle_gamma 90.00
_space_group_name_H-M_alt 'P n m a'
_space_group_IT_number 62
loop_
_space_group_symop_operation_xyz
'x,y,z'
'-x,-y,-z'
'-x+1/2,-y,z+1/2'
'x+1/2,y,-z+1/2'
'x+1/2,-y+1/2,-z+1/2'
'-x+1/2,y+1/2,z+1/2'
'-x,y+1/2,-z'
'x,-y+1/2,z'
loop_
_atom_site_label
_atom_site_fract_x
_atom_site_fract_y
_atom_site_fract_z
_atom_site_occupancy
Dy1 0.052 0.250 0.077 1
Dy2 0.070 0.250 0.359 1
Dy3 0.087 0.250 0.783 1
Dy4 0.140 0.250 0.528 1
Tl1 0.215 0.250 0.929 1
Te1 0.204 0.250 0.216 1
```

The 8 most intense peaks (10° ≤ 2θ ≤ 80°), by angle:
Position (°2θ), d [Å], intensity
28.3, 3.150, 53
30.9, 2.892, 100
32.3, 2.774, 73
33.5, 2.672, 91
37.7, 2.384, 80
38.7, 2.329, 60
40.5, 2.226, 36
51.2, 1.784, 60

=====

# 2
Starting from a cell relaxed with GGA-PBE, the XRD peak list of LiMg4H13Os2 was simulated for Cu Kα, 1.54184 Å.

```
data_LiMg4H13Os2
_chemical_formula_sum 'Li2 Mg8 H26 Os4'
_cell_length_a 4.6915
_cell_length_b 4.6915
_cell_length_c 18.3604
_cell_angle_alpha 90.00
_cell_angle_beta 90.00
_cell_angle_gamma 120.00
_space_group_name_H-M_alt 'P 63/m m c'
_space_group_IT_number 194
_space_group_name_Hall '-P 6c 2c'
loop_
_atom_site_label
_atom_site_fract_x
_atom_site_fract_y
_atom_site_fract_z
_atom_site_occupancy
Li1 0.3333 0.6667 0.2500 1
Mg1 0.0000 0.0000 0.1493 1
Mg2 0.3333 0.6667 0.5526 1
H1 0.0000 0.0000 0.2500 1
H2 0.0006 0.5003 0.6610 1
H3 0.1635 0.3270 0.0509 1
Os1 0.3333 0.6667 0.1047 1
```

The 8 most intense peaks (10° ≤ 2θ ≤ 80°), by angle:
Position (°2θ), d [Å], intensity
19.3, 4.590, 66
21.9, 4.063, 31
22.4, 3.967, 79
26.3, 3.385, 100
38.4, 2.346, 65
41.0, 2.204, 60
43.3, 2.089, 49
71.1, 1.325, 24

=====

# 3
Starting from a cell relaxed with GGA-PBE, the XRD peak list of MgMoSe2 was simulated for Cu Kα, 1.54184 Å.

```
data_MgMoSe2
_chemical_formula_sum 'Mg2 Mo2 Se4'
_cell_length_a 8.585
_cell_length_b 3.335
_cell_length_c 6.071
_cell_angle_alpha 90.00
_cell_angle_beta 105.78
_cell_angle_gamma 90.00
_space_group_name_H-M_alt 'C 1 m 1'
_space_group_IT_number 8
loop_
_space_group_symop_operation_xyz
'x,y,z'
'x,-y,z'
'x+1/2,y+1/2,z'
'x+1/2,-y+1/2,z'
loop_
_atom_site_label
_atom_site_fract_x
_atom_site_fract_y
_atom_site_fract_z
_atom_site_occupancy
Mg1 0.000 0.000 0.000 1
Mo1 0.047 0.000 0.485 1
Se1 0.177 0.500 0.812 1
Se2 0.326 0.000 0.412 1
```

The 8 most intense peaks (10° ≤ 2θ ≤ 80°), by angle:
Position (°2θ), d [Å], intensity
15.2, 5.842, 100
22.7, 3.911, 47
30.6, 2.921, 46
31.3, 2.856, 61
34.2, 2.625, 72
42.6, 2.124, 86
44.8, 2.023, 44
47.4, 1.920, 35